# 1
The following is a calculated X-ray powder pattern of Cu2Cl13. It was derived from DFT lattice parameters and positions (PBE), using Cu Kα (weighted mean of Kα1 and Kα2).
Neutral-atom scattering factors, no anomalous dispersion.

Structural model:
a = 7.197 Å, b = 7.438 Å, c = 7.942 Å
α = 95.25°, β = 90.75°, γ = 94.28°
Atoms (fractional coordinates):
Cu  0.210  0.094  0.048
Cu  0.790  0.906  0.952
Cl  0.089  0.833  0.915
Cl  0.203  0.859  0.562
Cl  0.263  0.398  0.758
Cl  0.279  0.370  0.501
Cl  0.317  0.875  0.333
Cl  0.319  0.358  0.161
Cl  0.500  0.000  0.000
Cl  0.681  0.642  0.839
Cl  0.683  0.125  0.667
Cl  0.721  0.630  0.499
Cl  0.737  0.602  0.242
Cl  0.797  0.141  0.438
Cl  0.911  0.167  0.085

Principal peaks in the range 2θ from 10° to 90°, by angle:
11.98°, d = 7.385 Å, rel. 74; 15.64°, d = 5.666 Å, rel. 68; 16.55°, d = 5.358 Å, rel. 51; 24.53°, d = 3.628 Å, rel. 95; 24.82°, d = 3.588 Å, rel. 100; 26.29°, d = 3.390 Å, rel. 67; 31.19°, d = 2.868 Å, rel. 54; 35.07°, d = 2.559 Å, rel. 67



# 2
The following is a calculated X-ray powder pattern of Li4TcAuO6. It was derived from DFT lattice parameters and positions (PBE), using Cu Kα (weighted mean of Kα1 and Kα2).
Neutral-atom scattering factors, no anomalous dispersion.

Structural model:
a = 5.371 Å, b = 5.371 Å, c = 4.988 Å
α = 98.68°, β = 98.68°, γ = 122.62°
Atoms (fractional coordinates):
Li  0.000  0.000  0.000
Li  0.191  0.809  0.500
Li  0.500  0.500  0.500
Li  0.869  0.131  0.500
Tc  0.674  0.326  0.000
Au  0.341  0.659  0.000
O  0.080  0.395  0.246
O  0.290  0.211  0.768
O  0.481  0.131  0.255
O  0.605  0.920  0.754
O  0.789  0.710  0.232
O  0.869  0.519  0.745

Principal peaks in the range 2θ from 10° to 90°, by angle:
18.76°, d = 4.730 Å, rel. 100; 20.44°, d = 4.344 Å, rel. 40; 23.62°, d = 3.767 Å, rel. 27; 26.69°, d = 3.340 Å, rel. 21; 33.91°, d = 2.644 Å, rel. 37; 35.99°, d = 2.496 Å, rel. 19; 41.87°, d = 2.158 Å, rel. 39; 44.07°, d = 2.055 Å, rel. 17



# 3
The following is a calculated X-ray powder pattern of Pt2W. It was derived from DFT lattice parameters and positions (PBE), using Cu Kα (weighted mean of Kα1 and Kα2).
Neutral-atom scattering factors, no anomalous dispersion.

Structural model:
a = 2.789 Å, b = 3.959 Å, c = 8.333 Å
α = 90.00°, β = 90.00°, γ = 90.00°
Atoms (fractional coordinates):
Pt  0.000  0.000  0.163
Pt  0.000  0.000  0.837
Pt  0.500  0.500  0.337
Pt  0.500  0.500  0.663
W  0.000  0.000  0.500
W  0.500  0.500  0.000

Principal peaks in the range 2θ from 10° to 90°, by angle:
39.52°, d = 2.280 Å, rel. 100; 39.63°, d = 2.274 Å, rel. 99; 45.84°, d = 1.980 Å, rel. 33; 46.12°, d = 1.968 Å, rel. 65; 67.06°, d = 1.396 Å, rel. 54; 80.55°, d = 1.193 Å, rel. 26; 80.85°, d = 1.189 Å, rel. 26; 81.07°, d = 1.186 Å, rel. 25



# 4
The following is a calculated X-ray powder pattern of CsSmGeSe4. It was derived from DFT lattice parameters and positions (PBE), using Cu Kα (weighted mean of Kα1 and Kα2).
Neutral-atom scattering factors, no anomalous dispersion.

Structural model:
a = 6.838 Å, b = 7.150 Å, c = 18.725 Å
α = 90.00°, β = 90.00°, γ = 90.00°
Atoms (fractional coordinates):
Cs  0.004  0.007  0.031
Cs  0.496  0.993  0.531
Cs  0.504  0.493  0.969
Cs  0.996  0.507  0.469
Sm  0.206  0.519  0.727
Sm  0.294  0.481  0.227
Sm  0.706  0.981  0.273
Sm  0.794  0.019  0.773
Ge  0.210  0.017  0.334
Ge  0.290  0.983  0.834
Ge  0.710  0.483  0.666
Ge  0.790  0.517  0.166
Se  0.054  0.742  0.855
Se  0.065  0.514  0.090
Se  0.095  0.259  0.848
Se  0.100  0.085  0.217
Se  0.400  0.915  0.717
Se  0.405  0.741  0.348
Se  0.435  0.486  0.590
Se  0.446  0.258  0.355
Se  0.554  0.758  0.145
Se  0.565  0.986  0.910
Se  0.595  0.241  0.152
Se  0.600  0.415  0.783
Se  0.900  0.585  0.283
Se  0.905  0.759  0.652
Se  0.935  0.014  0.410
Se  0.946  0.242  0.645

Principal peaks in the range 2θ from 10° to 90°, by angle:
24.91°, d = 3.575 Å, rel. 73; 27.15°, d = 3.285 Å, rel. 82; 27.78°, d = 3.211 Å, rel. 74; 28.58°, d = 3.124 Å, rel. 76; 29.94°, d = 2.985 Å, rel. 87; 31.49°, d = 2.841 Å, rel. 100; 31.67°, d = 2.825 Å, rel. 67; 37.65°, d = 2.389 Å, rel. 100



# 5
The following is a calculated X-ray powder pattern of Tm3In2Ag. It was derived from DFT lattice parameters and positions (PBE), using Cu Kα (weighted mean of Kα1 and Kα2).
Neutral-atom scattering factors, no anomalous dispersion.

Structural model:
a = 3.552 Å, b = 3.552 Å, c = 11.771 Å
α = 90.00°, β = 90.00°, γ = 90.00°
Atoms (fractional coordinates):
Tm  0.000  0.000  0.000
Tm  0.000  0.000  0.347
Tm  0.000  0.000  0.653
In  0.500  0.500  0.175
In  0.500  0.500  0.825
Ag  0.500  0.500  0.500

Principal peaks in the range 2θ from 10° to 90°, by angle:
34.05°, d = 2.633 Å, rel. 100; 35.75°, d = 2.511 Å, rel. 45; 46.28°, d = 1.962 Å, rel. 10; 51.46°, d = 1.776 Å, rel. 16; 59.82°, d = 1.546 Å, rel. 17; 63.15°, d = 1.472 Å, rel. 33; 71.68°, d = 1.317 Å, rel. 10; 85.71°, d = 1.133 Å, rel. 7



# 6
The following is a calculated X-ray powder pattern of Nd3Cu2Si4Ni2. It was derived from DFT lattice parameters and positions (PBE), using Cu Kα (weighted mean of Kα1 and Kα2).
Neutral-atom scattering factors, no anomalous dispersion.

Structural model:
a = 12.101 Å, b = 12.101 Å, c = 12.101 Å
α = 160.40°, β = 160.33°, γ = 27.91°
Atoms (fractional coordinates):
Nd  0.000  0.000  0.000
Nd  0.152  0.652  0.500
Nd  0.848  0.348  0.500
Cu  0.401  0.901  0.500
Cu  0.599  0.099  0.500
Si  0.298  0.798  0.500
Si  0.449  0.449  0.000
Si  0.551  0.551  0.000
Si  0.702  0.202  0.500
Ni  0.249  0.249  0.000
Ni  0.751  0.751  0.000

Principal peaks in the range 2θ from 10° to 90°, by angle:
24.41°, d = 3.647 Å, rel. 31; 34.32°, d = 2.613 Å, rel. 100; 34.43°, d = 2.605 Å, rel. 43; 40.93°, d = 2.205 Å, rel. 25; 43.79°, d = 2.067 Å, rel. 26; 43.95°, d = 2.060 Å, rel. 22; 56.98°, d = 1.616 Å, rel. 20; 61.50°, d = 1.508 Å, rel. 15



# 7
The following is a calculated X-ray powder pattern of Pm2Ir2Se. It was derived from DFT lattice parameters and positions (PBE), using Cu Kα (weighted mean of Kα1 and Kα2).
Neutral-atom scattering factors, no anomalous dispersion.

Structural model:
a = 4.266 Å, b = 13.699 Å, c = 3.947 Å
α = 90.00°, β = 90.00°, γ = 90.00°
Atoms (fractional coordinates):
Pm  0.166  0.134  0.000
Pm  0.334  0.634  0.000
Pm  0.666  0.366  0.000
Pm  0.834  0.866  0.000
Ir  0.164  0.303  0.500
Ir  0.336  0.803  0.500
Ir  0.664  0.197  0.500
Ir  0.836  0.697  0.500
Se  0.000  0.500  0.500
Se  0.500  0.000  0.500

Principal peaks in the range 2θ from 10° to 90°, by angle:
12.92°, d = 6.849 Å, rel. 62; 31.57°, d = 2.834 Å, rel. 29; 33.58°, d = 2.669 Å, rel. 100; 34.68°, d = 2.587 Å, rel. 40; 40.80°, d = 2.212 Å, rel. 34; 42.91°, d = 2.108 Å, rel. 28; 45.04°, d = 2.013 Å, rel. 27; 45.99°, d = 1.973 Å, rel. 27



# 8
The following is a calculated X-ray powder pattern of Li2Y2NiPdPb2. It was derived from DFT lattice parameters and positions (PBE), using Cu Kα (weighted mean of Kα1 and Kα2).
Neutral-atom scattering factors, no anomalous dispersion.

Structural model:
a = 4.754 Å, b = 4.754 Å, c = 6.749 Å
α = 90.00°, β = 90.00°, γ = 90.00°
Atoms (fractional coordinates):
Li  0.000  0.000  0.000
Li  0.500  0.500  0.500
Y  0.000  0.500  0.243
Y  0.500  0.000  0.757
Ni  0.500  0.500  0.000
Pd  0.000  0.000  0.500
Pb  0.000  0.500  0.757
Pb  0.500  0.000  0.243

Principal peaks in the range 2θ from 10° to 90°, by angle:
22.88°, d = 3.887 Å, rel. 31; 26.41°, d = 3.374 Å, rel. 11; 26.51°, d = 3.362 Å, rel. 23; 37.80°, d = 2.380 Å, rel. 100; 44.69°, d = 2.028 Å, rel. 11; 54.60°, d = 1.681 Å, rel. 12; 68.15°, d = 1.376 Å, rel. 12; 68.30°, d = 1.373 Å, rel. 23



# 9
The following is a calculated X-ray powder pattern of MgAlCu2. It was derived from DFT lattice parameters and positions (PBE), using Cu Kα (weighted mean of Kα1 and Kα2).
Neutral-atom scattering factors, no anomalous dispersion.

Structural model:
a = 6.087 Å, b = 6.087 Å, c = 6.087 Å
α = 90.00°, β = 90.00°, γ = 90.00°
Atoms (fractional coordinates):
Mg  0.000  0.000  0.000
Mg  0.000  0.000  0.500
Mg  0.000  0.500  0.000
Mg  0.500  0.000  0.000
Al  0.000  0.500  0.500
Al  0.500  0.000  0.500
Al  0.500  0.500  0.000
Al  0.500  0.500  0.500
Cu  0.261  0.261  0.261
Cu  0.261  0.261  0.739
Cu  0.261  0.739  0.261
Cu  0.261  0.739  0.739
Cu  0.739  0.261  0.261
Cu  0.739  0.261  0.739
Cu  0.739  0.739  0.261
Cu  0.739  0.739  0.739

Principal peaks in the range 2θ from 10° to 90°, by angle:
14.55°, d = 6.087 Å, rel. 2; 29.35°, d = 3.043 Å, rel. 27; 41.98°, d = 2.152 Å, rel. 100; 52.05°, d = 1.757 Å, rel. 6; 60.88°, d = 1.522 Å, rel. 15; 69.00°, d = 1.361 Å, rel. 7; 76.70°, d = 1.242 Å, rel. 28; 86.01°, d = 1.130 Å, rel. 2



# 10
The following is a calculated X-ray powder pattern of SnPdSO. It was derived from DFT lattice parameters and positions (PBE), using Cu Kα (weighted mean of Kα1 and Kα2).
Neutral-atom scattering factors, no anomalous dispersion.

Structural model:
a = 6.065 Å, b = 6.132 Å, c = 8.786 Å
α = 90.00°, β = 90.00°, γ = 90.00°
Atoms (fractional coordinates):
Sn  0.128  0.108  0.338
Sn  0.372  0.892  0.838
Sn  0.628  0.392  0.662
Sn  0.872  0.608  0.162
Pd  0.014  0.278  0.733
Pd  0.486  0.722  0.233
Pd  0.514  0.222  0.267
Pd  0.986  0.778  0.767
S  0.097  0.510  0.937
S  0.403  0.490  0.437
S  0.597  0.990  0.063
S  0.903  0.010  0.563
O  0.115  0.812  0.232
O  0.385  0.188  0.732
O  0.615  0.688  0.768
O  0.885  0.312  0.268

Principal peaks in the range 2θ from 10° to 90°, by angle:
20.22°, d = 4.393 Å, rel. 100; 22.97°, d = 3.871 Å, rel. 50; 25.00°, d = 3.562 Å, rel. 57; 30.89°, d = 2.895 Å, rel. 45; 33.94°, d = 2.641 Å, rel. 42; 34.33°, d = 2.612 Å, rel. 50; 34.54°, d = 2.597 Å, rel. 46; 46.94°, d = 1.936 Å, rel. 48